Calculated powder XRD pattern of Fe12C for CuKα, from a crystal structure in OQMD, relaxed with GGA-PBE.
Intensities are scaled so that the largest is 100.

Most intense lines, 2θ = 10–90°, in order of rising 2θ:
two_theta, I/Imax
43.75, 100
45.20, 25
45.48, 25
66.06, 15
82.44, 13
82.84, 13

Unit cell a=5.033 b=3.989 c=7.271 alpha=90.00 beta=93.65 gamma=90.00
Fractional coordinates of all 13 atoms:
1 Fe 0.000 0.000 0.000
2 Fe 0.000 0.500 0.500
3 Fe 0.151 0.000 0.340
4 Fe 0.184 0.500 0.831
5 Fe 0.292 0.500 0.195
6 Fe 0.343 0.000 0.663
7 Fe 0.500 0.000 0.000
8 Fe 0.500 0.500 0.500
9 Fe 0.657 0.000 0.337
10 Fe 0.708 0.500 0.805
11 Fe 0.816 0.500 0.169
12 Fe 0.849 0.000 0.660
13 C 0.500 0.500 0.000